Diffraction record for KVOF3. The powder X-ray diffraction pattern is computed, not measured: it uses a structure optimized by DFT (PBE+U) and Cu Kα (weighted mean of Kα1 and Kα2).
Peak positions follow from Bragg's law for the DFT cell and can differ from measured ones.

Principal peaks in the range 2θ from 10° to 90°, in order of rising 2θ:
hkl	2θ/deg	I (rel.)
0 0 2	13.19	55
1 0 1	13.72	37
1 0 2	17.88	35
2 0 1	25.09	88
0 0 4	26.55	68
1 2 1	27.02	60
1 2 2	29.41	100
0 4 0	47.34	32

Atomic structure:
a b c (Å): 7.3598 7.6814 13.4285
angles (deg): 90.00 90.00 90.00
Positions (direct):
K 0.0906 0.2500 0.1029
K 0.1744 0.7500 0.1448
K 0.3256 0.2500 0.6448
K 0.4094 0.7500 0.6029
K 0.5906 0.2500 0.3971
K 0.6744 0.7500 0.3552
K 0.8256 0.2500 0.8552
K 0.9094 0.7500 0.8971
V 0.1357 0.0041 0.3970
V 0.1357 0.4959 0.3970
V 0.3643 0.5041 0.8970
V 0.3643 0.9959 0.8970
V 0.6357 0.0041 0.1030
V 0.6357 0.4959 0.1030
V 0.8643 0.5041 0.6030
V 0.8643 0.9959 0.6030
O 0.1189 0.0417 0.2772
O 0.1189 0.4583 0.2772
O 0.3811 0.5417 0.7772
O 0.3811 0.9583 0.7772
O 0.6189 0.0417 0.2228
O 0.6189 0.4583 0.2228
O 0.8811 0.5417 0.7228
O 0.8811 0.9583 0.7228
F 0.0734 0.7500 0.3885
F 0.1152 0.0525 0.9164
F 0.1152 0.4475 0.9164
F 0.1230 0.5356 0.5597
F 0.1230 0.9644 0.5597
F 0.1992 0.2500 0.4399
F 0.3008 0.7500 0.9399
F 0.3770 0.0356 0.0597
F 0.3770 0.4644 0.0597
F 0.3848 0.5525 0.4164
F 0.3848 0.9475 0.4164
F 0.4266 0.2500 0.8885
F 0.5734 0.7500 0.1115
F 0.6152 0.0525 0.5836
F 0.6152 0.4475 0.5836
F 0.6230 0.5356 0.9403
F 0.6230 0.9644 0.9403
F 0.6992 0.2500 0.0601
F 0.8008 0.7500 0.5601
F 0.8770 0.0356 0.4403
F 0.8770 0.4644 0.4403
F 0.8848 0.5525 0.0836
F 0.8848 0.9475 0.0836
F 0.9266 0.2500 0.6115